Diffraction record for Hf2NbVO. The powder XRD pattern is computed, not measured: it uses a crystal structure in Alexandria, relaxed with GGA+U and copper Kα.

Most intense lines, 15 to 90 degrees two-theta, most intense first:
| h k l | Position (°2θ) | intensity |
| --- | --- | --- |
| 2 0 0 | 33.32 | 1000 |
| 1 1 1 | 33.10 | 801 |
| 0 0 1 | 23.08 | 683 |
| 2 0 1 | 40.93 | 627 |
| 2 0 2 | 58.97 | 379 |
| 2 2 0 | 47.84 | 358 |
| 1 1 0 | 23.39 | 310 |
| 3 1 1 | 59.41 | 295 |
| 2 2 1 | 53.76 | 290 |
| 2 2 2 | 69.45 | 230 |

Crystal structure
```
data_Hf2NbVO
_cell_length_a 5.3776
_cell_length_b 5.3776
_cell_length_c 3.8536
_cell_angle_alpha 90.00
_cell_angle_beta 90.00
_cell_angle_gamma 90.00
_space_group_name_H-M_alt 'P 1'
_space_group_IT_number 1
_space_group_name_Hall 'P 1'
loop_
_atom_site_label
_atom_site_fract_x
_atom_site_fract_y
_atom_site_fract_z
_atom_site_occupancy
Hf1 0.0000 0.5000 0.0000 1
Hf2 0.5000 0.0000 0.0000 1
Nb1 0.0000 0.0000 0.0000 1
V1 0.5000 0.5000 0.5000 1
O1 0.0000 0.0000 0.5000 1
```